TaAlW2O8: simulated X-ray powder pattern (CuKα), based on a structure optimized by DFT (PBE+U).
Neutral-atom scattering factors, no anomalous dispersion.

Structural model:
Cell lengths 5.203, 5.621, 10.685 Å; angles 90.00, 119.09, 90.00 degrees
Sites, in units of the cell vectors:
Ta (0.000, 0.142, 0.250)
Ta (0.000, 0.858, 0.750)
Al (0.500, 0.170, 0.750)
Al (0.500, 0.830, 0.250)
W (0.257, 0.338, 0.002)
W (0.257, 0.662, 0.502)
W (0.743, 0.338, 0.498)
W (0.743, 0.662, 0.998)
O (0.014, 0.374, 0.116)
O (0.014, 0.626, 0.616)
O (0.076, 0.126, 0.643)
O (0.076, 0.874, 0.143)
O (0.439, 0.097, 0.360)
O (0.439, 0.903, 0.860)
O (0.481, 0.385, 0.882)
O (0.481, 0.615, 0.382)
O (0.519, 0.385, 0.618)
O (0.519, 0.615, 0.118)
O (0.561, 0.097, 0.140)
O (0.561, 0.903, 0.640)
O (0.924, 0.126, 0.857)
O (0.924, 0.874, 0.357)
O (0.986, 0.374, 0.384)
O (0.986, 0.626, 0.884)

Principal peaks in the range 2θ from 10° to 90°, in order of rising 2θ:
d = 4.545 Å, I 14; d = 3.591 Å, I 42; d = 2.956 Å, I 100; d = 2.602 Å, I 21; d = 2.473 Å, I 30; d = 2.334 Å, I 12; d = 2.107 Å, I 17; d = 1.738 Å, I 34; d = 1.697 Å, I 31; d = 1.562 Å, I 16; d = 1.446 Å, I 16; d = 1.441 Å, I 13